Record 1
# Ce2PuBr6
Calculated powder diffraction line list, λ = 1.5418 Å (Cu Kα). Input: a crystal structure in Alexandria, relaxed with GGA-PBE.
Lines closer than 0.1° are merged.

Main lines, low angle first (10 to 90 degrees two-theta):
12.11 deg, rel. 100; 25.27 deg, rel. 35; 29.56 deg, rel. 44; 29.80 deg, rel. 89; 32.44 deg, rel. 18; 38.11 deg, rel. 19; 40.95 deg, rel. 18; 41.67 deg, rel. 36; 43.26 deg, rel. 29; 54.16 deg, rel. 17

Cell and atoms:
Lattice parameters (Å, degrees): 9.673 9.673 8.828 106.10 106.10 24.41
Atoms (fractional coordinates):
1 Ce 0.178 0.178 0.361
2 Ce 0.822 0.822 0.639
3 Pu 0.500 0.500 0.000
4 Br 0.008 0.008 0.248
5 Br 0.336 0.336 0.902
6 Br 0.341 0.341 0.403
7 Br 0.659 0.659 0.597
8 Br 0.664 0.664 0.098
9 Br 0.992 0.992 0.752

=====

Record 2
# ZrPd2Pt2Au
Calculated powder diffraction line list, λ = 1.5418 Å (Cu Kα). Input: a crystal structure in Alexandria, relaxed with GGA-PBE.
Lines closer than 0.1° are merged.

Main lines, low angle first (10 to 90 degrees two-theta):
27.11 deg, rel. 23; 33.98 deg, rel. 29; 37.57 deg, rel. 33; 38.49 deg, rel. 100; 40.10 deg, rel. 35; 41.29 deg, rel. 29; 41.42 deg, rel. 37; 42.02 deg, rel. 26; 42.24 deg, rel. 26; 45.39 deg, rel. 26

Cell and atoms:
Lattice parameters (Å, degrees): 5.070 5.276 7.821 90.00 91.38 90.00
Atoms (fractional coordinates):
1 Zr 0.126 0.250 0.264
2 Zr 0.874 0.750 0.736
3 Pd 0.397 0.002 0.820
4 Pd 0.397 0.498 0.820
5 Pd 0.603 0.502 0.180
6 Pd 0.603 0.998 0.180
7 Pt 0.046 0.250 0.600
8 Pt 0.456 0.750 0.495
9 Pt 0.544 0.250 0.505
10 Pt 0.954 0.750 0.400
11 Au 0.123 0.750 0.072
12 Au 0.877 0.250 0.928

=====

Record 3
# KPrHf4O12
Calculated powder diffraction line list, λ = 1.5418 Å (Cu Kα). Input: a crystal structure in Alexandria, relaxed with GGA-PBE.
Lines closer than 0.1° are merged.

Main lines, low angle first (10 to 90 degrees two-theta):
18.72 deg, rel. 12; 21.62 deg, rel. 41; 21.71 deg, rel. 20; 30.81 deg, rel. 100; 43.99 deg, rel. 10; 44.14 deg, rel. 11; 44.26 deg, rel. 10; 54.74 deg, rel. 28; 54.87 deg, rel. 14; 64.13 deg, rel. 12

Cell and atoms:
Lattice parameters (Å, degrees): 8.234 5.796 5.796 89.85 90.00 90.00
Atoms (fractional coordinates):
1 K 0.000 0.000 0.000
2 Pr 0.500 0.518 0.518
3 Hf 0.245 0.014 0.505
4 Hf 0.245 0.505 0.014
5 Hf 0.755 0.014 0.505
6 Hf 0.755 0.505 0.014
7 O 0.000 0.023 0.488
8 O 0.000 0.488 0.023
9 O 0.242 0.761 0.761
10 O 0.279 0.272 0.747
11 O 0.279 0.747 0.272
12 O 0.302 0.276 0.276
13 O 0.500 0.538 0.947
14 O 0.500 0.947 0.538
15 O 0.698 0.276 0.276
16 O 0.721 0.272 0.747
17 O 0.721 0.747 0.272
18 O 0.758 0.761 0.761